1.
The following is a computed powder diffraction line list of Na4Cd5P6. It was derived from the GGA-PBE geometry in Alexandria, using CuKα.
No peak broadening, texture or thermal motion is included.

Crystal structure
```
data_Na4Cd5P6
_symmetry_space_group_name_H-M 'C m c 21'
_symmetry_Int_Tables_number 36
_symmetry_space_group_name_Hall 'C 2c -2'
_cell_length_a 4.309
_cell_length_b 20.065
_cell_length_c 15.945
_cell_angle_alpha 90.00
_cell_angle_beta 90.00
_cell_angle_gamma 90.00
loop_
_atom_site_label
_atom_site_type_symbol
_atom_site_fract_x
_atom_site_fract_y
_atom_site_fract_z
_atom_site_occupancy
Na1 Na 0.000 0.012 0.000 1
Na2 Na 0.000 0.023 0.748 1
Na3 Na 0.000 0.186 0.284 1
Na4 Na 0.000 0.187 0.932 1
Cd1 Cd 0.000 0.135 0.607 1
Cd2 Cd 0.000 0.285 0.609 1
Cd3 Cd 0.000 0.360 0.255 1
Cd4 Cd 0.000 0.363 0.959 1
Cd5 Cd 0.000 0.433 0.661 1
P1 P 0.000 0.132 0.106 1
P2 P 0.000 0.211 0.469 1
P3 P 0.000 0.212 0.749 1
P4 P 0.000 0.443 0.109 1
P5 P 0.000 0.449 0.833 1
P6 P 0.000 0.451 0.377 1
```

Main lines, by angle (2θ = 10–90°):
2θ = 10.4°, d = 8.491 Å, rel. 44, hkl 0 2 1
2θ = 11.1°, d = 7.972 Å, rel. 82, hkl 0 0 2
2θ = 18.9°, d = 4.697 Å, rel. 39, hkl 0 2 3
2θ = 27.0°, d = 3.302 Å, rel. 100, hkl 1 1 3
2θ = 27.2°, d = 3.273 Å, rel. 42, hkl 0 6 1
2θ = 30.9°, d = 2.890 Å, rel. 35, hkl 1 5 1
2θ = 34.9°, d = 2.570 Å, rel. 52, hkl 1 5 3
2θ = 39.4°, d = 2.286 Å, rel. 54, hkl 1 7 2
2θ = 41.9°, d = 2.155 Å, rel. 45, hkl 2 0 0
2θ = 44.2°, d = 2.048 Å, rel. 66, hkl 1 7 4

=====

2.
The following is a computed powder diffraction line list of AcNd4Sm7. It was derived from the GGA-PBE geometry in Alexandria, using CuKα.
No peak broadening, texture or thermal motion is included.

Crystal structure
```
data_AcNd4Sm7
_symmetry_space_group_name_H-M 'P -1'
_symmetry_Int_Tables_number 2
_symmetry_space_group_name_Hall '-P 1'
_cell_length_a 6.417
_cell_length_b 7.400
_cell_length_c 9.172
_cell_angle_alpha 89.96
_cell_angle_beta 76.43
_cell_angle_gamma 90.00
loop_
_atom_site_label
_atom_site_type_symbol
_atom_site_fract_x
_atom_site_fract_y
_atom_site_fract_z
_atom_site_occupancy
Ac1 Ac 0.000 0.000 0.000 1
Nd1 Nd 0.219 0.500 0.332 1
Nd2 Nd 0.281 0.748 0.665 1
Sm1 Sm 0.000 0.500 0.000 1
Sm2 Sm 0.223 0.000 0.336 1
Sm3 Sm 0.281 0.253 0.666 1
Sm4 Sm 0.500 0.253 0.000 1
```

Main lines, by angle (2θ = 10–90°):
2θ = 28.0°, d = 3.184 Å, rel. 40, hkl 1 2 0
2θ = 30.1°, d = 2.972 Å, rel. 50, hkl 0 0 3
2θ = 30.9°, d = 2.891 Å, rel. 100, hkl 2 0 2
2θ = 32.5°, d = 2.751 Å, rel. 29, hkl 1 2 2
2θ = 32.6°, d = 2.750 Å, rel. 59, hkl 2 0 -1
2θ = 38.9°, d = 2.314 Å, rel. 16, hkl 1 2 3
2θ = 49.2°, d = 1.851 Å, rel. 38, hkl 3 2 1
2θ = 56.0°, d = 1.641 Å, rel. 19, hkl 2 0 -4
2θ = 58.8°, d = 1.572 Å, rel. 38, hkl 3 2 4
2θ = 59.3°, d = 1.559 Å, rel. 16, hkl 2 4 2

=====

3.
The following is a computed powder diffraction line list of Na2CuC3. It was derived from the GGA-PBE geometry in Alexandria, using CuKα.
No peak broadening, texture or thermal motion is included.

Crystal structure
```
data_Na2CuC3
_symmetry_space_group_name_H-M 'P 4/m b m'
_symmetry_Int_Tables_number 127
_symmetry_space_group_name_Hall '-P 4 2ab'
_cell_length_a 6.088
_cell_length_b 6.088
_cell_length_c 4.084
_cell_angle_alpha 90.00
_cell_angle_beta 90.00
_cell_angle_gamma 90.00
loop_
_atom_site_label
_atom_site_type_symbol
_atom_site_fract_x
_atom_site_fract_y
_atom_site_fract_z
_atom_site_occupancy
Na1 Na 0.175 0.325 0.000 1
Cu1 Cu 0.000 0.000 0.500 1
C1 C 0.000 0.500 0.500 1
C2 C 0.154 0.654 0.500 1
```

Main lines, by angle (2θ = 10–90°):
2θ = 20.6°, d = 4.305 Å, rel. 32, hkl 1 1 0
2θ = 21.8°, d = 4.084 Å, rel. 31, hkl 0 0 1
2θ = 30.2°, d = 2.963 Å, rel. 62, hkl 1 1 1
2θ = 36.8°, d = 2.441 Å, rel. 100, hkl 2 0 1
2θ = 39.8°, d = 2.265 Å, rel. 40, hkl 2 1 1
2θ = 42.0°, d = 2.153 Å, rel. 32, hkl 2 2 0
2θ = 44.4°, d = 2.042 Å, rel. 30, hkl 0 0 2
2θ = 47.2°, d = 1.925 Å, rel. 40, hkl 3 1 0
2θ = 47.8°, d = 1.904 Å, rel. 18, hkl 2 2 1
2θ = 66.8°, d = 1.401 Å, rel. 25, hkl 3 1 2